Calculated powder X-ray diffraction pattern
Compound: LiFeSiO4
Radiation: Cu Kα (λ = 1.5418 Å)
Structure: a structure optimized by DFT (PBE+U)
No peak broadening, texture or thermal motion is included.

Crystal structure
```
data_LiFeSiO4
_chemical_formula_sum 'Li6 Fe6 Si6 O24'
_cell_length_a 8.7822
_cell_length_b 8.7822
_cell_length_c 8.3009
_cell_angle_alpha 90.00
_cell_angle_beta 90.00
_cell_angle_gamma 120.00
_space_group_name_H-M_alt 'P 1'
_space_group_IT_number 1
_space_group_name_Hall 'P 1'
loop_
_atom_site_label
_atom_site_type_symbol
_atom_site_fract_x
_atom_site_fract_y
_atom_site_fract_z
Li1 Li 0.0000 0.0000 0.0000
Li2 Li 0.0000 0.0000 0.5000
Li3 Li 0.3333 0.6667 0.1691
Li4 Li 0.3333 0.6667 0.7349
Li5 Li 0.6667 0.3333 0.2349
Li6 Li 0.6667 0.3333 0.6691
Fe1 Fe 0.0446 0.6867 0.4479
Fe2 Fe 0.3133 0.3579 0.4479
Fe3 Fe 0.3579 0.0446 0.9479
Fe4 Fe 0.6421 0.9554 0.4479
Fe5 Fe 0.6867 0.6421 0.9479
Fe6 Fe 0.9554 0.3133 0.9479
Si1 Si 0.0398 0.6838 0.0659
Si2 Si 0.3162 0.3560 0.0659
Si3 Si 0.3560 0.0398 0.5659
Si4 Si 0.6440 0.9602 0.0659
Si5 Si 0.6838 0.6440 0.5659
Si6 Si 0.9602 0.3162 0.5659
O1 O 0.0984 0.5588 0.9674
O2 O 0.1122 0.8732 0.9716
O3 O 0.1268 0.2389 0.9716
O4 O 0.1432 0.7245 0.2402
O5 O 0.1762 0.4170 0.5886
O6 O 0.2389 0.1122 0.4716
O7 O 0.2408 0.8238 0.5886
O8 O 0.2755 0.4187 0.2402
O9 O 0.4170 0.2408 0.0886
O10 O 0.4187 0.1432 0.7402
O11 O 0.4412 0.5395 0.9674
O12 O 0.4605 0.9016 0.9674
O13 O 0.5395 0.0984 0.4674
O14 O 0.5588 0.4605 0.4674
O15 O 0.5813 0.8568 0.2402
O16 O 0.5830 0.7592 0.5886
O17 O 0.7245 0.5813 0.7402
O18 O 0.7592 0.1762 0.0886
O19 O 0.7611 0.8878 0.9716
O20 O 0.8238 0.5830 0.0886
O21 O 0.8568 0.2755 0.7402
O22 O 0.8732 0.7611 0.4716
O23 O 0.8878 0.1268 0.4716
O24 O 0.9016 0.4412 0.4674
```

Largest 10 diffraction maxima, by intensity, 2θ from 5° to 70°:
(0 0 2), 2θ = 21.41°, intensity 100
(1 1 1), 2θ = 22.91°, intensity 95
(1 1 0), 2θ = 20.22°, intensity 90
(1 1 3), 2θ = 38.45°, intensity 58
(2 1 0), 2θ = 31.11°, intensity 39
(1 1 2), 2θ = 29.62°, intensity 36
(3 0 0), 2θ = 35.41°, intensity 28
(3 0 1), 2θ = 37.08°, intensity 25
(1 1 5), 2θ = 59.53°, intensity 22
(3 0 2), 2θ = 41.75°, intensity 21